Li2FeSiO4: theoretical PXRD pattern (CuKα), based on a crystal structure in the Materials Project, relaxed with PBE+U.
Lines closer than 0.1° are merged.

Cell and atoms:
Lattice parameters (Å, degrees): 5.0392 5.4984 8.0328 90.00 128.35 90.00
Space group Pc (No. 7)
One atom of each set of equivalent atoms:
Li1 0.0000 0.1535 0.0000
Li2 0.7516 0.3167 0.2487
Fe1 0.2563 0.3315 0.7583
Si1 0.5087 0.1753 0.5011
O1 0.1854 0.3133 0.2828
O2 0.3984 0.1075 0.0017
O3 0.6250 0.3232 0.7175
O4 0.8343 0.1743 0.4992

Peak list (10 most intense, 2θ from 10° to 80°, by angle)
| Position (°2θ) | intensity |
| --- | --- |
| 21.45 | 100 |
| 22.50 | 58 |
| 22.69 | 65 |
| 32.57 | 36 |
| 32.77 | 70 |
| 35.63 | 85 |
| 37.29 | 51 |
| 37.56 | 23 |
| 49.01 | 22 |
| 58.24 | 38 |


Li7Fe7SiO16: theoretical PXRD pattern (CuKα), based on a crystal structure in the Materials Project, relaxed with PBE+U.
Lines closer than 0.1° are merged.

Cell and atoms:
Lattice parameters (Å, degrees): 5.1276 5.6131 12.9114 89.90 89.84 89.60
Space group P1 (No. 1)
One atom of each set of equivalent atoms:
Li1 0.0000 0.0000 0.0000
Li2 0.0003 0.0017 0.4968
Li3 0.0033 0.4976 0.8754
Li4 0.0100 0.5027 0.3708
Li5 0.4874 0.1338 0.1273
Li6 0.4999 0.1555 0.6204
Li7 0.5023 0.6581 0.7487
Fe1 0.0034 0.4909 0.6216
Fe2 0.0145 0.4840 0.1261
Fe3 0.4774 0.1553 0.3696
Fe4 0.4915 0.6690 0.0009
Fe5 0.4950 0.1639 0.8750
Fe6 0.4976 0.6697 0.4946
Fe7 0.9977 0.9902 0.7479
Si1 0.4888 0.6667 0.2495
O1 0.1066 0.6623 0.7430
O2 0.1083 0.1656 0.6294
O3 0.1230 0.1544 0.8666
O4 0.1240 0.1875 0.1087
O5 0.1250 0.6636 0.0035
O6 0.1274 0.6611 0.5025
O7 0.1366 0.1894 0.3892
O8 0.1758 0.6242 0.2456
O9 0.5667 0.9464 0.2542
O10 0.6045 0.5161 0.3545
O11 0.6084 0.9878 0.9942
O12 0.6090 0.4895 0.8848
O13 0.6125 0.9860 0.4910
O14 0.6199 0.5394 0.1417
O15 0.6219 0.0037 0.7536
O16 0.6258 0.5009 0.6117

Peak list (10 most intense, 2θ from 10° to 80°, by angle)
| Position (°2θ) | intensity |
| --- | --- |
| 17.25 | 36 |
| 18.62 | 26 |
| 20.97 | 82 |
| 22.14 | 100 |
| 31.93 | 80 |
| 32.01 | 44 |
| 35.00 | 68 |
| 36.42 | 38 |
| 36.62 | 69 |
| 56.88 | 47 |


LiFeSiO4: theoretical PXRD pattern (CuKα), based on a crystal structure in the Materials Project, relaxed with PBE+U.
Lines closer than 0.1° are merged.

Cell and atoms:
Lattice parameters (Å, degrees): 9.7960 4.9009 9.1094 90.00 120.10 90.00
Space group Cc (No. 9)
One atom of each set of equivalent atoms:
Li1 0.0000 0.1057 0.0000
Fe1 0.3081 0.1586 0.1371
Si1 0.1597 0.3729 0.3798
O1 0.0005 0.4449 0.8262
O2 0.1609 0.0970 0.4824
O3 0.1682 0.2865 0.2102
O4 0.3215 0.4525 0.0075

Peak list (10 most intense, 2θ from 10° to 80°, by angle)
| Position (°2θ) | intensity |
| --- | --- |
| 20.96 | 62 |
| 21.14 | 57 |
| 21.77 | 85 |
| 26.24 | 100 |
| 26.73 | 75 |
| 35.39 | 18 |
| 41.20 | 20 |
| 43.21 | 21 |
| 44.80 | 17 |
| 66.11 | 17 |


Which formula does entry 2 have? Li7Fe7SiO16